[1]
Theoretical powder XRD pattern
Compound: Cd2AgPt
Radiation: Cu Kα (λ = 1.5418 Å)
Structure: a PBE-relaxed structure
No peak broadening, texture or thermal motion is included.

Cell and atoms:
a b c (Å): 4.7188 4.7188 4.7188
angles (deg): 60.00 60.00 60.00
Positions (direct):
Cd  0.2500  0.2500  0.2500
Cd  0.7500  0.7500  0.7500
Ag  0.0000  0.0000  0.0000
Pt  0.5000  0.5000  0.5000

Most intense lines, 15 to 90 degrees two-theta, by intensity:
- 38.1°, intensity 100.0
- 68.9°, intensity 33.7
- 55.0°, intensity 16.8
- 81.6°, intensity 10.7
- 23.1°, intensity 5.0
- 45.1°, intensity 2.9

---

[2]
Theoretical powder XRD pattern
Compound: SiC
Radiation: Cu Kα (λ = 1.5418 Å)
Structure: a PBE-relaxed structure
No peak broadening, texture or thermal motion is included.

Cell and atoms:
a b c (Å): 73.2535 73.2535 73.2535
angles (deg): 2.42 2.42 2.42
Positions (direct):
Si  0.0000  0.0000  0.0000
Si  0.0230  0.0230  0.0230
Si  0.0460  0.0460  0.0460
Si  0.0920  0.0920  0.0920
Si  0.1150  0.1150  0.1150
Si  0.1609  0.1609  0.1609
Si  0.1839  0.1839  0.1839
Si  0.2299  0.2299  0.2299
Si  0.2529  0.2529  0.2529
Si  0.2988  0.2988  0.2988
Si  0.3219  0.3219  0.3219
Si  0.3678  0.3678  0.3678
Si  0.4023  0.4023  0.4023
Si  0.4368  0.4368  0.4368
Si  0.4713  0.4713  0.4713
Si  0.5058  0.5058  0.5058
Si  0.5402  0.5402  0.5402
Si  0.5747  0.5747  0.5747
Si  0.6092  0.6092  0.6092
Si  0.6437  0.6437  0.6437
Si  0.6782  0.6782  0.6782
Si  0.7241  0.7241  0.7241
Si  0.7471  0.7471  0.7471
Si  0.7931  0.7931  0.7931
Si  0.8161  0.8161  0.8161
Si  0.8621  0.8621  0.8621
Si  0.8851  0.8851  0.8851
Si  0.9310  0.9310  0.9310
Si  0.9540  0.9540  0.9540
C  0.0144  0.0144  0.0144
C  0.0374  0.0374  0.0374
C  0.0833  0.0833  0.0833
C  0.1063  0.1063  0.1063
C  0.1523  0.1523  0.1523
C  0.1753  0.1753  0.1753
C  0.2213  0.2213  0.2213
C  0.2442  0.2442  0.2442
C  0.2902  0.2902  0.2902
C  0.3132  0.3132  0.3132
C  0.3592  0.3592  0.3592
C  0.3936  0.3936  0.3936
C  0.4281  0.4281  0.4281
C  0.4626  0.4626  0.4626
C  0.4971  0.4971  0.4971
C  0.5316  0.5316  0.5316
C  0.5661  0.5661  0.5661
C  0.6005  0.6005  0.6005
C  0.6350  0.6350  0.6350
C  0.6695  0.6695  0.6695
C  0.7155  0.7155  0.7155
C  0.7385  0.7385  0.7385
C  0.7845  0.7845  0.7845
C  0.8075  0.8075  0.8075
C  0.8534  0.8534  0.8534
C  0.8764  0.8764  0.8764
C  0.9224  0.9224  0.9224
C  0.9454  0.9454  0.9454
C  0.9914  0.9914  0.9914

Most intense lines, 15 to 90 degrees two-theta, by intensity:
- 35.5°, intensity 100.0
- 59.7°, intensity 66.4
- 71.5°, intensity 46.2
- 35.4°, intensity 31.9
- 33.9°, intensity 31.5
- 37.9°, intensity 26.2

---

[3]
Theoretical powder XRD pattern
Compound: SmTiGe
Radiation: Cu Kα (λ = 1.5418 Å)
Structure: a PBE-relaxed structure
No peak broadening, texture or thermal motion is included.

Cell and atoms:
a b c (Å): 8.4280 8.4280 8.4280
angles (deg): 151.82 151.82 40.28
Positions (direct):
Sm  0.1739  0.1739  0.0000
Sm  0.8261  0.8261  0.0000
Ti  0.0000  0.5000  0.5000
Ti  0.5000  0.0000  0.5000
Ge  0.3815  0.3815  0.0000
Ge  0.6185  0.6185  0.0000

Most intense lines, 15 to 90 degrees two-theta, by intensity:
- 35.8°, intensity 100.0
- 38.5°, intensity 88.8
- 30.8°, intensity 86.1
- 27.5°, intensity 75.6
- 32.9°, intensity 75.5
- 44.1°, intensity 75.1

---

[4]
Theoretical powder XRD pattern
Compound: Y2HfO5
Radiation: Cu Kα (λ = 1.5418 Å)
Structure: a PBE-relaxed structure
No peak broadening, texture or thermal motion is included.

Cell and atoms:
a b c (Å): 9.6879 7.2339 6.5117
angles (deg): 90.00 104.73 90.00
Positions (direct):
Y  0.0308  0.1238  0.2391
Y  0.0308  0.3762  0.7391
Y  0.3532  0.1375  0.0293
Y  0.3532  0.3625  0.5293
Y  0.6468  0.6375  0.4707
Y  0.6468  0.8625  0.9707
Y  0.9692  0.6238  0.2609
Y  0.9692  0.8762  0.7609
Hf  0.3112  0.6109  0.0615
Hf  0.3112  0.8891  0.5615
Hf  0.6888  0.1109  0.4385
Hf  0.6888  0.3891  0.9385
O  0.1015  0.6373  0.9953
O  0.1015  0.8627  0.4953
O  0.1099  0.1118  0.9254
O  0.1099  0.3882  0.4254
O  0.2764  0.0904  0.3355
O  0.2764  0.4096  0.8355
O  0.3484  0.6774  0.3895
O  0.3484  0.8226  0.8895
O  0.4348  0.1064  0.7294
O  0.4348  0.3936  0.2294
O  0.5652  0.6064  0.7706
O  0.5652  0.8936  0.2706
O  0.6516  0.1774  0.1105
O  0.6516  0.3226  0.6105
O  0.7236  0.5904  0.1645
O  0.7236  0.9096  0.6645
O  0.8901  0.6118  0.5746
O  0.8901  0.8882  0.0746
O  0.8985  0.1373  0.5047
O  0.8985  0.3627  0.0047

Most intense lines, 15 to 90 degrees two-theta, by intensity:
- 31.2°, intensity 100.0
- 28.6°, intensity 75.5
- 32.2°, intensity 58.3
- 29.9°, intensity 58.1
- 28.5°, intensity 41.4
- 49.0°, intensity 40.4